# Li5Fe8B8O24
Computed powder XRD pattern, Cu Kα, 1.54184 Å. Input: the PBE+U geometry in the Materials Project.

Principal peaks in the range 2θ = 10–80°, most intense first:
| index | d_spacing | I/Imax |
| --- | --- | --- |
| 1 -1 0 | 4.526 | 1000 |
| 0 0 4 | 2.563 | 924 |
| 0 2 -1 | 4.131 | 896 |
| 1 -3 0 | 2.613 | 670 |
| 1 1 2 | 3.429 | 614 |
| 1 1 -1 | 4.114 | 409 |
| 0 2 -2 | 3.367 | 399 |
| -2 2 1 | 2.207 | 265 |
| 0 4 1 | 2.225 | 258 |
| 1 3 0 | 2.621 | 252 |

Cell and atoms:
Cell lengths 5.220, 9.081, 10.256 Å; angles 89.01, 89.24, 89.83 degrees
Atoms (fractional coordinates):
1 Li 0.000 0.000 0.000
2 Li 0.014 0.987 0.506
3 Li 0.359 0.333 0.746
4 Li 0.824 0.835 0.253
5 Li 0.864 0.831 0.761
6 Fe 0.015 0.332 0.973
7 Fe 0.332 0.013 0.217
8 Fe 0.348 0.671 0.719
9 Fe 0.506 0.816 0.980
10 Fe 0.515 0.170 0.466
11 Fe 0.845 0.495 0.222
12 Fe 0.859 0.168 0.727
13 Fe 0.996 0.652 0.471
14 B 0.014 0.665 0.969
15 B 0.017 0.323 0.467
16 B 0.349 0.667 0.227
17 B 0.354 0.995 0.711
18 B 0.502 0.840 0.474
19 B 0.506 0.154 0.958
20 B 0.831 0.163 0.217
21 B 0.843 0.504 0.721
22 O 0.083 0.666 0.257
23 O 0.089 0.988 0.706
24 O 0.259 0.661 0.912
25 O 0.276 0.321 0.483
26 O 0.361 0.724 0.526
27 O 0.366 0.970 0.440
28 O 0.369 0.279 0.930
29 O 0.382 0.029 0.009
30 O 0.463 0.800 0.189
31 O 0.484 0.123 0.674
32 O 0.494 0.542 0.235
33 O 0.495 0.871 0.752
34 O 0.580 0.507 0.722
35 O 0.588 0.165 0.274
36 O 0.765 0.835 0.455
37 O 0.771 0.149 0.932
38 O 0.877 0.196 0.505
39 O 0.884 0.798 0.959
40 O 0.892 0.446 0.419
41 O 0.910 0.542 0.028
42 O 0.944 0.293 0.177
43 O 0.953 0.029 0.199
44 O 0.977 0.633 0.685
45 O 0.978 0.378 0.753